[1]
Structure and simulated powder diffraction line list of Pr8P4S3 (a GGA-PBE-relaxed structure; Cu Kα, 1.54184 Å).
Kinematic intensities with the Lorentz-polarization factor, no thermal factor.

Principal peaks in the range 10 to 90 degrees two-theta, sorted by position:
| d [Å] | 2θ (°) | I_rel |
| --- | --- | --- |
| 3.389 | 26.30 | 85.3 |
| 2.935 | 30.46 | 100.0 |
| 2.075 | 43.61 | 73.1 |
| 1.771 | 51.61 | 27.9 |
| 1.768 | 51.71 | 14.0 |
| 1.695 | 54.12 | 25.5 |
| 1.347 | 69.84 | 14.0 |
| 1.313 | 71.89 | 21.6 |
| 1.311 | 72.02 | 10.8 |
| 1.199 | 80.06 | 16.1 |

Structural model:
```
data_Pr8P4S3
_chemical_formula_sum 'Pr8 P4 S3'
_cell_length_a 8.296
_cell_length_b 8.296
_cell_length_c 8.298
_cell_angle_alpha 119.92
_cell_angle_beta 119.92
_cell_angle_gamma 90.10
_symmetry_space_group_name_H-M 'P 1'
_symmetry_Int_Tables_number 1
loop_
_symmetry_equiv_pos_as_xyz
'x,y,z'
loop_
_atom_site_label
_atom_site_fract_x
_atom_site_fract_y
_atom_site_fract_z
_atom_site_occupancy
Pr1 0.246 0.754 0.000 1
Pr2 0.247 0.247 0.490 1
Pr3 0.250 0.250 0.003 1
Pr4 0.253 0.747 0.500 1
Pr5 0.747 0.253 0.500 1
Pr6 0.750 0.750 0.997 1
Pr7 0.753 0.753 0.510 1
Pr8 0.754 0.246 0.000 1
P1 0.000 0.000 0.000 1
P2 0.000 0.500 0.000 1
P3 0.500 0.000 0.000 1
P4 0.500 0.500 0.500 1
S1 0.000 0.000 0.500 1
S2 0.000 0.500 0.500 1
S3 0.500 0.000 0.500 1
```

=====

[2]
Structure and simulated powder diffraction line list of Ba4Pa3SeO12 (a GGA-PBE-relaxed structure; Cu Kα, 1.54184 Å).
Kinematic intensities with the Lorentz-polarization factor, no thermal factor.

Principal peaks in the range 10 to 90 degrees two-theta, sorted by position:
| d [Å] | 2θ (°) | I_rel |
| --- | --- | --- |
| 6.412 | 13.81 | 8.2 |
| 4.534 | 19.58 | 7.0 |
| 3.702 | 24.04 | 4.6 |
| 3.206 | 27.83 | 100.0 |
| 2.267 | 39.76 | 28.3 |
| 1.851 | 49.23 | 42.5 |
| 1.603 | 57.49 | 18.5 |
| 1.434 | 65.05 | 19.4 |
| 1.309 | 72.17 | 6.2 |
| 1.212 | 79.02 | 22.7 |

Structural model:
```
data_Ba4Pa3SeO12
_chemical_formula_sum 'Ba4 Pa3 Se1 O12'
_cell_length_a 7.853
_cell_length_b 7.853
_cell_length_c 7.853
_cell_angle_alpha 109.47
_cell_angle_beta 109.47
_cell_angle_gamma 109.47
_symmetry_space_group_name_H-M 'P 1'
_symmetry_Int_Tables_number 1
loop_
_symmetry_equiv_pos_as_xyz
'x,y,z'
loop_
_atom_site_label
_atom_site_fract_x
_atom_site_fract_y
_atom_site_fract_z
_atom_site_occupancy
Ba1 0.000 0.000 0.500 1
Ba2 0.000 0.500 0.000 1
Ba3 0.500 0.000 0.000 1
Ba4 0.500 0.500 0.500 1
Pa1 0.000 0.500 0.500 1
Pa2 0.500 0.000 0.500 1
Pa3 0.500 0.500 0.000 1
Se1 0.000 0.000 0.000 1
O1 0.000 0.277 0.277 1
O2 0.000 0.723 0.723 1
O3 0.250 0.500 0.750 1
O4 0.250 0.750 0.500 1
O5 0.277 0.000 0.277 1
O6 0.277 0.277 0.000 1
O7 0.500 0.250 0.750 1
O8 0.500 0.750 0.250 1
O9 0.723 0.000 0.723 1
O10 0.723 0.723 0.000 1
O11 0.750 0.250 0.500 1
O12 0.750 0.500 0.250 1
```

=====

[3]
Structure and simulated powder diffraction line list of Zr2ZnPd6 (a GGA-PBE-relaxed structure; Cu Kα, 1.54184 Å).
Kinematic intensities with the Lorentz-polarization factor, no thermal factor.

Principal peaks in the range 10 to 90 degrees two-theta, sorted by position:
| d [Å] | 2θ (°) | I_rel |
| --- | --- | --- |
| 2.851 | 31.38 | 66.3 |
| 2.347 | 38.35 | 42.2 |
| 2.308 | 39.03 | 68.9 |
| 2.248 | 40.12 | 93.8 |
| 2.109 | 42.88 | 100.0 |
| 2.007 | 45.17 | 32.9 |
| 1.959 | 46.35 | 52.3 |
| 1.597 | 57.74 | 25.9 |
| 1.313 | 71.91 | 21.7 |
| 1.273 | 74.54 | 37.2 |

Structural model:
```
data_Zr2ZnPd6
_chemical_formula_sum 'Zr2 Zn1 Pd6'
_cell_length_a 7.784
_cell_length_b 7.784
_cell_length_c 3.193
_cell_angle_alpha 90.00
_cell_angle_beta 90.00
_cell_angle_gamma 125.61
_symmetry_space_group_name_H-M 'P 1'
_symmetry_Int_Tables_number 1
loop_
_symmetry_equiv_pos_as_xyz
'x,y,z'
loop_
_atom_site_label
_atom_site_fract_x
_atom_site_fract_y
_atom_site_fract_z
_atom_site_occupancy
Zr1 0.188 0.812 0.000 1
Zr2 0.812 0.188 0.000 1
Zn1 0.500 0.500 0.500 1
Pd1 0.150 0.464 0.500 1
Pd2 0.195 0.195 0.000 1
Pd3 0.464 0.150 0.500 1
Pd4 0.536 0.850 0.500 1
Pd5 0.805 0.805 0.000 1
Pd6 0.850 0.536 0.500 1
```

=====

[4]
Structure and simulated powder diffraction line list of Th3GePd (a GGA-PBE-relaxed structure; Cu Kα, 1.54184 Å).
Kinematic intensities with the Lorentz-polarization factor, no thermal factor.

Principal peaks in the range 10 to 90 degrees two-theta, sorted by position:
| d [Å] | 2θ (°) | I_rel |
| --- | --- | --- |
| 3.546 | 25.11 | 19.7 |
| 3.175 | 28.11 | 100.0 |
| 2.509 | 35.79 | 43.0 |
| 2.050 | 44.18 | 31.0 |
| 1.967 | 46.14 | 25.6 |
| 1.774 | 51.52 | 19.4 |
| 1.722 | 53.19 | 16.2 |
| 1.587 | 58.12 | 11.9 |
| 1.341 | 70.20 | 14.8 |
| 1.319 | 71.56 | 12.1 |

Structural model:
```
data_Th3GePd
_chemical_formula_sum 'Th6 Ge2 Pd2'
_cell_length_a 8.190
_cell_length_b 8.190
_cell_length_c 8.190
_cell_angle_alpha 51.38
_cell_angle_beta 51.38
_cell_angle_gamma 51.38
_symmetry_space_group_name_H-M 'P 1'
_symmetry_Int_Tables_number 1
loop_
_symmetry_equiv_pos_as_xyz
'x,y,z'
loop_
_atom_site_label
_atom_site_fract_x
_atom_site_fract_y
_atom_site_fract_z
_atom_site_occupancy
Th1 0.090 0.439 0.732 1
Th2 0.268 0.910 0.561 1
Th3 0.439 0.732 0.090 1
Th4 0.561 0.268 0.910 1
Th5 0.732 0.090 0.439 1
Th6 0.910 0.561 0.268 1
Ge1 0.157 0.157 0.157 1
Ge2 0.843 0.843 0.843 1
Pd1 0.333 0.333 0.333 1
Pd2 0.667 0.667 0.667 1
```

=====

[5]
Structure and simulated powder diffraction line list of KRb2TcH6 (a GGA-PBE-relaxed structure; Cu Kα, 1.54184 Å).
Kinematic intensities with the Lorentz-polarization factor, no thermal factor.

Principal peaks in the range 10 to 90 degrees two-theta, sorted by position:
| d [Å] | 2θ (°) | I_rel |
| --- | --- | --- |
| 5.052 | 17.56 | 10.6 |
| 3.096 | 28.84 | 100.0 |
| 3.082 | 28.97 | 19.8 |
| 2.192 | 41.19 | 7.8 |
| 2.186 | 41.31 | 15.4 |
| 1.789 | 51.05 | 23.1 |
| 1.782 | 51.27 | 15.2 |
| 1.548 | 59.76 | 9.8 |
| 1.385 | 67.62 | 9.9 |
| 1.171 | 82.34 | 11.4 |

Structural model:
```
data_KRb2TcH6
_chemical_formula_sum 'K1 Rb2 Tc1 H6'
_cell_length_a 6.190
_cell_length_b 6.190
_cell_length_c 6.190
_cell_angle_alpha 120.29
_cell_angle_beta 119.90
_cell_angle_gamma 89.84
_symmetry_space_group_name_H-M 'P 1'
_symmetry_Int_Tables_number 1
loop_
_symmetry_equiv_pos_as_xyz
'x,y,z'
loop_
_atom_site_label
_atom_site_fract_x
_atom_site_fract_y
_atom_site_fract_z
_atom_site_occupancy
K1 0.000 0.000 0.000 1
Rb1 0.249 0.749 0.500 1
Rb2 0.751 0.251 0.500 1
Tc1 0.500 0.500 0.000 1
H1 0.292 0.298 0.590 1
H2 0.292 0.702 0.994 1
H3 0.296 0.296 0.000 1
H4 0.704 0.704 0.000 1
H5 0.708 0.298 0.006 1
H6 0.708 0.702 0.410 1
```

=====

[6]
Structure and simulated powder diffraction line list of PmEr3Tm (a GGA-PBE-relaxed structure; Cu Kα, 1.54184 Å).
Kinematic intensities with the Lorentz-polarization factor, no thermal factor.

Principal peaks in the range 10 to 90 degrees two-theta, sorted by position:
| d [Å] | 2θ (°) | I_rel |
| --- | --- | --- |
| 3.124 | 28.58 | 23.9 |
| 2.801 | 31.95 | 23.9 |
| 2.728 | 32.83 | 100.0 |
| 2.086 | 43.39 | 15.5 |
| 1.804 | 50.61 | 13.2 |
| 1.603 | 57.49 | 20.4 |
| 1.516 | 61.11 | 22.6 |
| 1.504 | 61.65 | 16.5 |
| 1.155 | 83.72 | 14.1 |
| 1.106 | 88.36 | 8.5 |

Structural model:
```
data_PmEr3Tm
_chemical_formula_sum 'Pm2 Er6 Tm2'
_cell_length_a 6.248
_cell_length_b 5.603
_cell_length_c 9.539
_cell_angle_alpha 90.00
_cell_angle_beta 109.07
_cell_angle_gamma 90.00
_symmetry_space_group_name_H-M 'P 1'
_symmetry_Int_Tables_number 1
loop_
_symmetry_equiv_pos_as_xyz
'x,y,z'
loop_
_atom_site_label
_atom_site_fract_x
_atom_site_fract_y
_atom_site_fract_z
_atom_site_occupancy
Pm1 0.068 0.250 0.300 1
Pm2 0.932 0.750 0.700 1
Er1 0.134 0.750 0.098 1
Er2 0.268 0.250 0.702 1
Er3 0.336 0.750 0.501 1
Er4 0.664 0.250 0.499 1
Er5 0.732 0.750 0.298 1
Er6 0.866 0.250 0.902 1
Tm1 0.466 0.250 0.099 1
Tm2 0.534 0.750 0.901 1
```